1.
Diffraction record for Sm3Gd. The powder XRD pattern is theoretical, not measured: it uses a DFT-relaxed cell (GGA-PBE, Alexandria) and Cu Kα (λ = 1.5418 Å).

Most intense lines, 5 to 70 degrees two-theta, sorted by position:
2θ (°)	I_rel	(hkl)
28.12	23.6	1 0 1
30.69	25.0	0 4 0
32.11	100.0	0 2 2
42.10	15.9	1 4 1
49.76	19.6	2 0 0
55.47	21.3	0 6 2
58.13	3.1	0 0 4
59.60	22.8	2 4 0
60.46	16.4	2 2 2
67.17	4.0	0 4 4

Atomic structure:
```
data_Sm3Gd
_chemical_formula_sum 'Sm6 Gd2'
_cell_length_a 3.663
_cell_length_b 11.653
_cell_length_c 6.352
_cell_angle_alpha 90.00
_cell_angle_beta 90.00
_cell_angle_gamma 90.00
_space_group_name_H-M_alt 'P 1'
_space_group_IT_number 1
_space_group_name_Hall 'P 1'
loop_
_atom_site_label
_atom_site_type_symbol
_atom_site_fract_x
_atom_site_fract_y
_atom_site_fract_z
Sm1 Sm 0.000 0.000 0.000
Sm2 Sm 0.000 0.251 0.332
Sm3 Sm 0.000 0.749 0.332
Sm4 Sm 0.500 0.249 0.832
Sm5 Sm 0.500 0.500 0.500
Sm6 Sm 0.500 0.751 0.832
Gd1 Gd 0.000 0.500 0.000
Gd2 Gd 0.500 0.000 0.500
```


2.
Diffraction record for SrSm2Gd. The powder XRD pattern is theoretical, not measured: it uses a DFT-relaxed cell (GGA-PBE, Alexandria) and Cu Kα (λ = 1.5418 Å).

Most intense lines, 5 to 70 degrees two-theta, sorted by position:
2θ (°)	I_rel	(hkl)
16.81	3.8	1 0 0
23.88	3.4	1 0 1
29.35	100.0	1 1 1
33.97	34.0	2 0 0
34.10	16.8	0 0 2
41.98	1.6	2 1 1
48.87	36.6	2 2 0
57.97	29.3	3 1 1
58.14	14.5	1 1 3
60.88	12.6	2 2 2

Atomic structure:
```
data_SrSm2Gd
_chemical_formula_sum 'Sr1 Sm2 Gd1'
_cell_length_a 5.278
_cell_length_b 5.278
_cell_length_c 5.259
_cell_angle_alpha 90.00
_cell_angle_beta 90.00
_cell_angle_gamma 90.00
_space_group_name_H-M_alt 'P 1'
_space_group_IT_number 1
_space_group_name_Hall 'P 1'
loop_
_atom_site_label
_atom_site_type_symbol
_atom_site_fract_x
_atom_site_fract_y
_atom_site_fract_z
Sr1 Sr 0.000 0.000 0.000
Sm1 Sm 0.000 0.500 0.500
Sm2 Sm 0.500 0.000 0.500
Gd1 Gd 0.500 0.500 0.000
```


3.
Diffraction record for Sr3Gd. The powder XRD pattern is theoretical, not measured: it uses a DFT-relaxed cell (GGA-PBE, Alexandria) and Cu Kα (λ = 1.5418 Å).

Most intense lines, 5 to 70 degrees two-theta, sorted by position:
2θ (°)	I_rel	(hkl)
14.24	6.9	0 1 1
25.29	24.7	0 0 2
26.72	25.9	0 4 0
28.66	100.0	1 2 1
37.12	17.9	0 4 2
44.60	13.0	1 0 3
48.38	16.7	1 6 1
52.64	7.9	2 4 0
52.75	15.3	1 4 3
53.79	10.2	2 2 2

Atomic structure:
```
data_Sr3Gd
_chemical_formula_sum 'Sr6 Gd2'
_cell_length_a 4.074
_cell_length_b 13.346
_cell_length_c 7.032
_cell_angle_alpha 90.00
_cell_angle_beta 90.00
_cell_angle_gamma 90.00
_space_group_name_H-M_alt 'P 1'
_space_group_IT_number 1
_space_group_name_Hall 'P 1'
loop_
_atom_site_label
_atom_site_type_symbol
_atom_site_fract_x
_atom_site_fract_y
_atom_site_fract_z
Sr1 Sr 0.000 0.000 0.000
Sr2 Sr 0.000 0.240 0.653
Sr3 Sr 0.000 0.760 0.653
Sr4 Sr 0.500 0.260 0.153
Sr5 Sr 0.500 0.500 0.500
Sr6 Sr 0.500 0.740 0.153
Gd1 Gd 0.000 0.500 0.000
Gd2 Gd 0.500 0.000 0.500
```